The following is a computed PXRD pattern of CaAc6Pt4. It was derived from a DFT-relaxed cell (PBE, Alexandria), using Cu Kα.
Peak positions follow from Bragg's law for the DFT cell and can differ from measured ones.

The 12 most intense peaks (2θ from 10° to 90°), low angle first:
- 2θ = 27.91°, intensity 91
- 2θ = 29.03°, intensity 100
- 2θ = 30.55°, intensity 35
- 2θ = 31.01°, intensity 72
- 2θ = 33.56°, intensity 40
- 2θ = 36.20°, intensity 66
- 2θ = 37.16°, intensity 33
- 2θ = 39.20°, intensity 38
- 2θ = 40.53°, intensity 72
- 2θ = 51.92°, intensity 27
- 2θ = 52.30°, intensity 19
- 2θ = 57.67°, intensity 21

Crystal structure
```
data_CaAc6Pt4
_cell_length_a 9.250
_cell_length_b 8.897
_cell_length_c 9.395
_cell_angle_alpha 90.00
_cell_angle_beta 112.96
_cell_angle_gamma 90.00
_symmetry_space_group_name_H-M 'C 1 m 1'
_symmetry_Int_Tables_number 8
loop_
_symmetry_equiv_pos_as_xyz
'x,y,z'
'x,-y,z'
'x+1/2,y+1/2,z'
'x+1/2,-y+1/2,z'
loop_
_atom_site_label
_atom_site_type_symbol
_atom_site_fract_x
_atom_site_fract_y
_atom_site_fract_z
_atom_site_occupancy
Ca1 Ca 0.000 0.000 0.000 1
Ac1 Ac 0.057 0.500 0.687 1
Ac2 Ac 0.080 0.000 0.650 1
Ac3 Ac 0.200 0.266 0.378 1
Ac4 Ac 0.310 0.214 0.034 1
Pt1 Pt 0.348 0.270 0.729 1
Pt2 Pt 0.412 0.000 0.319 1
Pt3 Pt 0.424 0.500 0.293 1
```

The following is a computed PXRD pattern of Ca5AcPt6. It was derived from a DFT-relaxed cell (PBE, Alexandria), using Cu Kα.
Peak positions follow from Bragg's law for the DFT cell and can differ from measured ones.

The 12 most intense peaks (2θ from 10° to 90°), low angle first:
- 2θ = 24.92°, intensity 13
- 2θ = 25.16°, intensity 25
- 2θ = 35.71°, intensity 100
- 2θ = 35.88°, intensity 49
- 2θ = 44.18°, intensity 12
- 2θ = 51.13°, intensity 9
- 2θ = 51.65°, intensity 18
- 2θ = 58.20°, intensity 8
- 2θ = 64.04°, intensity 18
- 2θ = 64.38°, intensity 36
- 2θ = 75.64°, intensity 11
- 2θ = 86.98°, intensity 12

Crystal structure
```
data_Ca5AcPt6
_cell_length_a 5.010
_cell_length_b 15.001
_cell_length_c 7.146
_cell_angle_alpha 90.00
_cell_angle_beta 90.00
_cell_angle_gamma 90.00
_symmetry_space_group_name_H-M 'C m m m'
_symmetry_Int_Tables_number 65
_symmetry_space_group_name_Hall '-C 2 2'
loop_
_atom_site_label
_atom_site_type_symbol
_atom_site_fract_x
_atom_site_fract_y
_atom_site_fract_z
_atom_site_occupancy
Ca1 Ca 0.000 0.000 0.000 1
Ca2 Ca 0.000 0.328 0.500 1
Ca3 Ca 0.000 0.333 0.000 1
Ac1 Ac 0.000 0.000 0.500 1
Pt1 Pt 0.000 0.168 0.245 1
Pt2 Pt 0.000 0.500 0.243 1
```

The following is a computed PXRD pattern of Ca2Ac3Pt3. It was derived from a DFT-relaxed cell (PBE, Alexandria), using Cu Kα.
Peak positions follow from Bragg's law for the DFT cell and can differ from measured ones.

The 12 most intense peaks (2θ from 10° to 90°), low angle first:
- 2θ = 13.31°, intensity 46
- 2θ = 16.32°, intensity 100
- 2θ = 18.25°, intensity 31
- 2θ = 27.40°, intensity 39
- 2θ = 29.17°, intensity 32
- 2θ = 30.03°, intensity 89
- 2θ = 32.10°, intensity 26
- 2θ = 32.98°, intensity 41
- 2θ = 36.71°, intensity 25
- 2θ = 41.11°, intensity 25
- 2θ = 45.21°, intensity 28
- 2θ = 48.13°, intensity 24

Crystal structure
```
data_Ca2Ac3Pt3
_cell_length_a 13.308
_cell_length_b 5.950
_cell_length_c 14.696
_cell_angle_alpha 90.00
_cell_angle_beta 91.63
_cell_angle_gamma 90.00
_symmetry_space_group_name_H-M 'C 1 m 1'
_symmetry_Int_Tables_number 8
loop_
_symmetry_equiv_pos_as_xyz
'x,y,z'
'x,-y,z'
'x+1/2,y+1/2,z'
'x+1/2,-y+1/2,z'
loop_
_atom_site_label
_atom_site_type_symbol
_atom_site_fract_x
_atom_site_fract_y
_atom_site_fract_z
_atom_site_occupancy
Ca1 Ca 0.000 0.000 0.000 1
Ca2 Ca 0.010 0.000 0.375 1
Ca3 Ca 0.103 0.500 0.823 1
Ca4 Ca 0.335 0.000 0.500 1
Ac1 Ac 0.118 0.500 0.561 1
Ac2 Ac 0.220 0.500 0.052 1
Ac3 Ac 0.227 0.500 0.321 1
Ac4 Ac 0.322 0.000 0.864 1
Ac5 Ac 0.421 0.000 0.187 1
Ac6 Ac 0.424 0.500 0.688 1
Pt1 Pt 0.005 0.500 0.996 1
Pt2 Pt 0.017 0.500 0.380 1
Pt3 Pt 0.315 0.500 0.871 1
Pt4 Pt 0.329 0.500 0.499 1
Pt5 Pt 0.393 0.500 0.187 1
Pt6 Pt 0.444 0.000 0.686 1
```

The following is a computed PXRD pattern of Ca2Ac5Pt4. It was derived from a DFT-relaxed cell (PBE, Alexandria), using Cu Kα.
Peak positions follow from Bragg's law for the DFT cell and can differ from measured ones.

The 12 most intense peaks (2θ from 10° to 90°), low angle first:
- 2θ = 11.38°, intensity 32
- 2θ = 19.64°, intensity 20
- 2θ = 27.27°, intensity 100
- 2θ = 29.50°, intensity 28
- 2θ = 30.55°, intensity 21
- 2θ = 31.39°, intensity 58
- 2θ = 31.88°, intensity 30
- 2θ = 32.76°, intensity 48
- 2θ = 33.04°, intensity 29
- 2θ = 35.71°, intensity 53
- 2θ = 42.47°, intensity 37
- 2θ = 62.62°, intensity 21

Crystal structure
```
data_Ca2Ac5Pt4
_cell_length_a 18.200
_cell_length_b 4.257
_cell_length_c 10.576
_cell_angle_alpha 90.00
_cell_angle_beta 121.34
_cell_angle_gamma 90.00
_symmetry_space_group_name_H-M 'C 1 2/m 1'
_symmetry_Int_Tables_number 12
loop_
_symmetry_equiv_pos_as_xyz
'x,y,z'
'-x,-y,-z'
'-x,y,-z'
'x,-y,z'
'x+1/2,y+1/2,z'
'-x+1/2,-y+1/2,-z'
'-x+1/2,y+1/2,-z'
'x+1/2,-y+1/2,z'
loop_
_atom_site_label
_atom_site_type_symbol
_atom_site_fract_x
_atom_site_fract_y
_atom_site_fract_z
_atom_site_occupancy
Ca1 Ca 0.047 0.000 0.198 1
Ac1 Ac 0.000 0.000 0.500 1
Ac2 Ac 0.146 0.500 0.868 1
Ac3 Ac 0.249 0.000 0.663 1
Pt1 Pt 0.109 0.500 0.438 1
Pt2 Pt 0.168 0.000 0.084 1
```

The following is a computed PXRD pattern of CaAc4Pt5. It was derived from a DFT-relaxed cell (PBE, Alexandria), using Cu Kα.
Peak positions follow from Bragg's law for the DFT cell and can differ from measured ones.

The 12 most intense peaks (2θ from 10° to 90°), low angle first:
- 2θ = 20.60°, intensity 4
- 2θ = 29.00°, intensity 88
- 2θ = 29.11°, intensity 43
- 2θ = 41.53°, intensity 100
- 2θ = 51.47°, intensity 36
- 2θ = 60.10°, intensity 11
- 2θ = 60.36°, intensity 6
- 2θ = 68.09°, intensity 16
- 2θ = 68.15°, intensity 16
- 2θ = 68.33°, intensity 15
- 2θ = 75.71°, intensity 23
- 2θ = 75.89°, intensity 11

Crystal structure
```
data_CaAc4Pt5
_cell_length_a 4.354
_cell_length_b 4.354
_cell_length_c 30.671
_cell_angle_alpha 90.00
_cell_angle_beta 90.00
_cell_angle_gamma 90.00
_symmetry_space_group_name_H-M 'I 4/m m m'
_symmetry_Int_Tables_number 139
_symmetry_space_group_name_Hall '-I 4 2'
loop_
_atom_site_label
_atom_site_type_symbol
_atom_site_fract_x
_atom_site_fract_y
_atom_site_fract_z
_atom_site_occupancy
Ca1 Ca 0.000 0.000 0.000 1
Ac1 Ac 0.000 0.000 0.199 1
Ac2 Ac 0.000 0.000 0.403 1
Pt1 Pt 0.000 0.000 0.099 1
Pt2 Pt 0.000 0.000 0.300 1
Pt3 Pt 0.000 0.000 0.500 1
```

The following is a computed PXRD pattern of CaAc2SnPt6. It was derived from a DFT-relaxed cell (PBE, Alexandria), using Cu Kα.
Peak positions follow from Bragg's law for the DFT cell and can differ from measured ones.

The 12 most intense peaks (2θ from 10° to 90°), low angle first:
- 2θ = 15.20°, intensity 2
- 2θ = 17.56°, intensity 2
- 2θ = 24.94°, intensity 6
- 2θ = 30.67°, intensity 100
- 2θ = 35.56°, intensity 77
- 2θ = 43.92°, intensity 3
- 2θ = 51.17°, intensity 56
- 2θ = 60.85°, intensity 44
- 2θ = 63.86°, intensity 19
- 2θ = 75.28°, intensity 9
- 2θ = 83.44°, intensity 19
- 2θ = 86.13°, intensity 26

Crystal structure
```
data_CaAc2SnPt6
_cell_length_a 10.099
_cell_length_b 10.099
_cell_length_c 10.099
_cell_angle_alpha 90.00
_cell_angle_beta 90.00
_cell_angle_gamma 90.00
_symmetry_space_group_name_H-M 'F m -3 m'
_symmetry_Int_Tables_number 225
_symmetry_space_group_name_Hall '-F 4 2 3'
loop_
_atom_site_label
_atom_site_type_symbol
_atom_site_fract_x
_atom_site_fract_y
_atom_site_fract_z
_atom_site_occupancy
Ca1 Ca 0.000 0.000 0.000 1
Ac1 Ac 0.250 0.250 0.250 1
Sn1 Sn 0.000 0.000 0.500 1
Pt1 Pt 0.000 0.000 0.252 1
```

The following is a computed PXRD pattern of Ca2Ac3Rh4. It was derived from a DFT-relaxed cell (PBE, Alexandria), using Cu Kα.
Peak positions follow from Bragg's law for the DFT cell and can differ from measured ones.

The 12 most intense peaks (2θ from 10° to 90°), low angle first:
- 2θ = 19.15°, intensity 37
- 2θ = 24.56°, intensity 100
- 2θ = 27.86°, intensity 55
- 2θ = 29.22°, intensity 61
- 2θ = 29.70°, intensity 32
- 2θ = 30.55°, intensity 33
- 2θ = 30.76°, intensity 89
- 2θ = 33.29°, intensity 74
- 2θ = 33.96°, intensity 60
- 2θ = 37.98°, intensity 75
- 2θ = 41.45°, intensity 57
- 2θ = 47.48°, intensity 34

Crystal structure
```
data_Ca2Ac3Rh4
_cell_length_a 12.065
_cell_length_b 4.357
_cell_length_c 9.558
_cell_angle_alpha 90.00
_cell_angle_beta 104.07
_cell_angle_gamma 90.00
_symmetry_space_group_name_H-M 'C 1 2/m 1'
_symmetry_Int_Tables_number 12
loop_
_symmetry_equiv_pos_as_xyz
'x,y,z'
'-x,-y,-z'
'-x,y,-z'
'x,-y,z'
'x+1/2,y+1/2,z'
'-x+1/2,-y+1/2,-z'
'-x+1/2,y+1/2,-z'
'x+1/2,-y+1/2,z'
loop_
_atom_site_label
_atom_site_type_symbol
_atom_site_fract_x
_atom_site_fract_y
_atom_site_fract_z
_atom_site_occupancy
Ca1 Ca 0.185 0.000 0.319 1
Ac1 Ac 0.000 0.500 0.500 1
Ac2 Ac 0.117 0.000 0.898 1
Rh1 Rh 0.105 0.500 0.105 1
Rh2 Rh 0.155 0.000 0.621 1
```

The following is a computed PXRD pattern of Ca2Ac6RuRh. It was derived from a DFT-relaxed cell (PBE, Alexandria), using Cu Kα.
Peak positions follow from Bragg's law for the DFT cell and can differ from measured ones.

The 12 most intense peaks (2θ from 10° to 90°), low angle first:
- 2θ = 15.06°, intensity 61
- 2θ = 26.24°, intensity 100
- 2θ = 30.39°, intensity 95
- 2θ = 34.09°, intensity 34
- 2θ = 43.51°, intensity 60
- 2θ = 46.30°, intensity 16
- 2θ = 51.53°, intensity 49
- 2θ = 53.95°, intensity 13
- 2θ = 54.06°, intensity 13
- 2θ = 71.75°, intensity 28
- 2θ = 79.83°, intensity 12
- 2θ = 79.97°, intensity 12

Crystal structure
```
data_Ca2Ac6RuRh
_cell_length_a 8.330
_cell_length_b 11.763
_cell_length_c 8.307
_cell_angle_alpha 90.00
_cell_angle_beta 90.00
_cell_angle_gamma 90.00
_symmetry_space_group_name_H-M 'I m m 2'
_symmetry_Int_Tables_number 44
loop_
_symmetry_equiv_pos_as_xyz
'x,y,z'
'-x,-y,z'
'-x,y,z'
'x,-y,z'
'x+1/2,y+1/2,z+1/2'
'-x+1/2,-y+1/2,z+1/2'
'-x+1/2,y+1/2,z+1/2'
'x+1/2,-y+1/2,z+1/2'
loop_
_atom_site_label
_atom_site_type_symbol
_atom_site_fract_x
_atom_site_fract_y
_atom_site_fract_z
_atom_site_occupancy
Ca1 Ca 0.000 0.250 0.000 1
Ac1 Ac 0.000 0.248 0.500 1
Ac2 Ac 0.247 0.000 0.748 1
Ac3 Ac 0.248 0.000 0.252 1
Ru1 Ru 0.000 0.000 0.499 1
Rh1 Rh 0.000 0.500 0.500 1
```